Theoretical powder diffraction line list of Sr2Mn2AlTlO7 for Cu Kα, from DFT lattice parameters and positions (GGA+U).
No peak broadening, texture or thermal motion is included.

Principal peaks in the range 2θ from 10° to 80°, low angle first:
| h k l | 2θ (°) | I (rel.) |
| --- | --- | --- |
| 1 0 2 | 27.53 | 38 |
| 1 0 3 | 31.38 | 100 |
| 0 0 5 | 33.41 | 27 |
| 1 1 0 | 34.26 | 50 |
| 1 1 1 | 34.93 | 23 |
| 1 1 5 | 48.60 | 21 |
| 2 0 0 | 49.23 | 27 |
| 1 1 6 | 53.94 | 26 |
| 2 1 3 | 59.55 | 33 |
| 2 0 5 | 60.81 | 17 |

Structure:
a = 3.7015 Å, b = 3.7015 Å, c = 13.4103 Å
α = 90.00°, β = 90.00°, γ = 90.00°
Space group P4/mmm (No. 123)
Asymmetric unit:
Sr: 0.0000 0.0000 0.1876 x2
Mn: 0.5000 0.5000 0.3641 x2
Al: 0.0000 0.0000 0.5000 x1
Tl: 0.5000 0.5000 0.0000 x1
O: 0.0000 0.0000 0.0000 x1
O: 0.0000 0.5000 0.4097 x4
O: 0.5000 0.5000 0.2097 x2